Simulated PXRD pattern
Compound: Ac2Ni3SnGe4
Radiation: copper Kα
Structure: DFT lattice parameters and positions (GGA-PBE)
Intensities are scaled so that the largest is 100.

Most intense lines, 2θ = 5–70°, in order of rising 2θ:
- 2θ = 22.11°, I 23
- 2θ = 32.78°, I 51
- 2θ = 33.75°, I 100
- 2θ = 41.52°, I 49
- 2θ = 47.99°, I 19
- 2θ = 53.88°, I 25

Crystal structure
```
Ac2Ni3SnGe4
1.0
4.3497 0.0000 0.0000
0.0000 4.3497 0.0000
0.0000 0.0000 10.5329
Ac Ni Sn Ge
2 3 1 4
Cartesian
0.0000 2.1748 2.4539
2.1748 0.0000 8.0790
0.0000 2.1748 9.3406
2.1748 0.0000 1.1923
2.1748 2.1748 5.2664
0.0000 0.0000 5.2664
0.0000 0.0000 0.0000
0.0000 2.1748 6.9217
2.1748 0.0000 3.6112
2.1748 2.1748 0.0000
```


Simulated PXRD pattern
Compound: Ac3Ni4Sn2Ge2
Radiation: copper Kα
Structure: DFT lattice parameters and positions (GGA-PBE)
Intensities are scaled so that the largest is 100.

Most intense lines, 2θ = 5–70°, in order of rising 2θ:
- 2θ = 26.37°, I 23
- 2θ = 29.20°, I 61
- 2θ = 32.79°, I 100
- 2θ = 41.99°, I 68
- 2θ = 54.27°, I 24
- 2θ = 58.85°, I 37

Crystal structure
```
Ac3Ni4Sn2Ge2
1.0
4.3036 0.0000 0.0000
-2.1518 3.7270 0.0000
0.0000 0.0000 16.0528
Ac Ni Sn Ge
3 4 2 2
Cartesian
0.0000 0.0000 0.0000
0.0000 0.0000 4.3560
0.0000 0.0000 11.6968
0.0000 2.4847 6.4337
0.0000 2.4847 13.8523
2.1518 1.2423 2.2005
2.1518 1.2423 9.6191
0.0000 2.4847 9.0741
2.1518 1.2423 6.9786
0.0000 2.4847 2.2052
2.1518 1.2423 13.8476
```


Simulated PXRD pattern
Compound: Ac4Ge6O19
Radiation: copper Kα
Structure: DFT lattice parameters and positions (GGA-PBE)
Intensities are scaled so that the largest is 100.

Most intense lines, 2θ = 5–70°, in order of rising 2θ:
- 2θ = 24.06°, I 100
- 2θ = 31.22°, I 56
- 2θ = 37.13°, I 22
- 2θ = 42.32°, I 59
- 2θ = 55.56°, I 22
- 2θ = 61.40°, I 25

Crystal structure
```
Ac4Ge6O19
1.0
-4.5302 4.5302 4.5302
4.5302 -4.5302 4.5302
4.5302 4.5302 -4.5302
Ac Ge O
4 6 19
Cartesian
3.0476 3.0476 -3.0476
3.0476 -3.0476 3.0476
1.4826 1.4826 1.4826
-3.0476 3.0476 3.0476
4.5302 0.0000 1.4406
4.5302 3.0896 0.0000
1.4406 4.5302 0.0000
3.0896 0.0000 4.5302
0.0000 1.4406 4.5302
0.0000 4.5302 3.0896
0.0000 0.0000 0.0000
3.2268 0.0000 0.0000
5.8336 0.0000 0.0000
4.8141 1.9055 -1.4567
3.0735 -0.2839 2.6247
2.6247 3.0735 -0.2839
5.9869 0.2839 2.6247
0.0000 3.2268 0.0000
0.0000 0.0000 3.2268
4.2463 1.9055 1.4567
1.9055 -1.4567 4.8141
-0.2839 2.6247 3.0735
1.9055 1.4567 4.2463
0.0000 5.8336 0.0000
0.0000 0.0000 5.8336
1.4567 4.2463 1.9055
2.6247 5.9869 0.2839
-1.4567 4.8141 1.9055
0.2839 2.6247 5.9869
```